Simulated PXRD pattern of La2PrTm3 for Cu Kα, 1.54184 Å, from a structure optimized by DFT (PBE).
Lines closer than 0.1° are merged.

Main lines, by intensity (2θ = 5–70°):
2theta	d (Å)	I_rel
30.03	2.976	100.0
36.40	2.468	55.9
33.51	2.674	40.7
27.57	3.236	36.2
32.66	2.742	20.7
61.19	1.515	19.6
53.56	1.711	17.6
53.12	1.724	15.0
62.96	1.476	13.6
51.63	1.770	12.4

Structural model:
```
12
Lattice="8.4156 -3.5196 0.0000 8.4156 3.5196 0.0000 -1.4966 0.0000 6.9221" Properties=species:S:1:pos:R:3 pbc="T T T"
La 2.8532 0.0722 0.6220
La 2.1049 -0.0722 4.0830
La 13.2297 0.0722 2.8390
La 12.4814 -0.0722 6.3001
Pr 8.0414 1.8816 1.7305
Pr 7.2931 -1.8816 5.1915
Tm 7.2931 1.8887 5.1915
Tm 5.5037 0.0500 3.0078
Tm 4.7554 -0.0500 6.4688
Tm 10.5792 0.0500 0.4532
Tm 9.8309 -0.0500 3.9143
Tm 8.0414 -1.8887 1.7305
```